[1]
Starting from DFT lattice parameters and positions (GGA-PBE), the X-ray diffraction stick pattern of Na5B8C2 was simulated for Cu Kα (λ = 1.5418 Å).
Kinematic intensities with the Lorentz-polarization factor, no thermal factor.

Largest 10 diffraction maxima, in order of rising 2θ, 2θ = 5–70°:
2θ 33.96, I 13
2θ 36.14, I 17
2θ 39.98, I 50
2θ 41.63, I 38
2θ 41.89, I 100
2θ 54.77, I 7
2θ 56.29, I 9
2θ 62.20, I 18
2θ 66.22, I 2
2θ 66.36, I 7

Structure:
Unit cell a=7.521 b=7.521 c=10.344 alpha=120.64 beta=120.64 gamma=41.09
Fractional coordinates of all 30 atoms:
Na  0.000  0.000  0.000
Na  0.000  0.000  0.500
Na  0.200  0.204  0.004
Na  0.204  0.200  0.504
Na  0.396  0.399  0.993
Na  0.399  0.396  0.493
Na  0.601  0.604  0.507
Na  0.604  0.601  0.007
Na  0.796  0.800  0.496
Na  0.800  0.796  0.996
B  0.024  0.368  0.750
B  0.039  0.349  0.250
B  0.148  0.852  0.750
B  0.180  0.820  0.250
B  0.274  0.537  0.750
B  0.349  0.039  0.750
B  0.368  0.024  0.250
B  0.463  0.726  0.750
B  0.537  0.274  0.250
B  0.632  0.976  0.750
B  0.651  0.961  0.250
B  0.726  0.463  0.250
B  0.820  0.180  0.750
B  0.852  0.148  0.250
B  0.961  0.651  0.750
B  0.976  0.632  0.250
C  0.239  0.566  0.250
C  0.434  0.761  0.250
C  0.566  0.239  0.750
C  0.761  0.434  0.750


[2]
Starting from DFT lattice parameters and positions (GGA-PBE), the X-ray diffraction stick pattern of Na10B17C3 was simulated for Cu Kα (λ = 1.5418 Å).
Kinematic intensities with the Lorentz-polarization factor, no thermal factor.

Largest 10 diffraction maxima, in order of rising 2θ, 2θ = 5–70°:
2θ 34.91, I 21
2θ 35.39, I 9
2θ 40.82, I 100
2θ 41.24, I 51
2θ 41.67, I 37
2θ 55.41, I 6
2θ 55.50, I 6
2θ 55.79, I 5
2θ 62.28, I 9
2θ 63.23, I 17

Structure:
Unit cell a=7.873 b=7.873 c=10.514 alpha=122.38 beta=122.38 gamma=37.58
Fractional coordinates of all 30 atoms:
Na  0.000  0.999  0.249
Na  0.001  0.000  0.751
Na  0.196  0.203  0.250
Na  0.199  0.200  0.750
Na  0.398  0.401  0.750
Na  0.400  0.400  0.250
Na  0.599  0.602  0.250
Na  0.600  0.600  0.750
Na  0.797  0.804  0.750
Na  0.800  0.801  0.250
B  0.017  0.385  0.501
B  0.045  0.367  0.000
B  0.164  0.836  0.500
B  0.178  0.822  0.000
B  0.210  0.573  0.000
B  0.236  0.561  0.500
B  0.358  0.035  0.500
B  0.427  0.790  0.000
B  0.439  0.764  0.500
B  0.567  0.231  0.001
B  0.590  0.227  0.500
B  0.615  0.983  0.499
B  0.633  0.955  0.000
B  0.769  0.433  0.999
B  0.773  0.410  0.500
B  0.825  0.175  0.000
B  0.965  0.642  0.500
C  0.364  0.041  0.000
C  0.842  0.158  0.500
C  0.959  0.636  0.000


[3]
Starting from DFT lattice parameters and positions (GGA-PBE), the X-ray diffraction stick pattern of Na5B8C2 was simulated for Cu Kα (λ = 1.5418 Å).
Kinematic intensities with the Lorentz-polarization factor, no thermal factor.

Largest 10 diffraction maxima, in order of rising 2θ, 2θ = 5–70°:
2θ 34.98, I 21
2θ 35.35, I 19
2θ 35.48, I 18
2θ 40.90, I 98
2θ 41.23, I 99
2θ 41.34, I 100
2θ 41.77, I 74
2θ 55.89, I 20
2θ 62.89, I 17
2θ 63.13, I 17

Structure:
Unit cell a=5.131 b=8.650 c=7.717 alpha=90.00 beta=109.19 gamma=90.00
Fractional coordinates of all 30 atoms:
Na  0.000  0.246  0.000
Na  0.000  0.754  0.000
Na  0.199  0.250  0.400
Na  0.199  0.750  0.400
Na  0.398  0.251  0.799
Na  0.398  0.749  0.799
Na  0.597  0.249  0.200
Na  0.597  0.751  0.200
Na  0.800  0.252  0.600
Na  0.800  0.748  0.600
B  0.051  0.000  0.788
B  0.131  0.500  0.610
B  0.272  0.000  0.203
B  0.322  0.500  0.000
B  0.328  0.000  0.996
B  0.461  0.500  0.604
B  0.466  0.000  0.612
B  0.520  0.500  0.388
B  0.537  0.000  0.402
B  0.654  0.500  0.001
B  0.669  0.000  0.984
B  0.767  0.500  0.807
B  0.856  0.500  0.395
B  0.891  0.000  0.418
B  0.923  0.000  0.198
B  0.960  0.500  0.192
C  0.069  0.500  0.806
C  0.142  0.000  0.604
C  0.263  0.500  0.195
C  0.735  0.000  0.795